[1]
This entry pairs a crystal structure of LaSc2AgHg4 with its computed XRD peak list. Radiation: a wavelength of 1.5418 Å. Structure: the PBE geometry in Alexandria.
No peak broadening, texture or thermal motion is included.

Crystal structure
```
data_LaSc2AgHg4
_chemical_formula_sum 'La3 Sc6 Ag3 Hg12'
_cell_length_a 4.8934
_cell_length_b 4.8934
_cell_length_c 27.8182
_cell_angle_alpha 90.00
_cell_angle_beta 90.00
_cell_angle_gamma 120.00
_space_group_name_H-M_alt 'R -3 m'
_space_group_IT_number 166
_space_group_name_Hall '-R 3 2"'
loop_
_atom_site_label
_atom_site_fract_x
_atom_site_fract_y
_atom_site_fract_z
La1 0.0000 0.0000 0.0000
Sc1 0.0000 0.0000 0.2343
Ag1 0.0000 0.0000 0.5000
Hg1 0.0000 0.0000 0.1250
Hg2 0.0000 0.0000 0.3915
```

Most intense lines, 2θ = 5–70°, in order of rising 2θ:
2θ (°)  I (rel.)  (hkl)
21.93  17  0 1 2
24.60  39  1 0 4
33.33  97  0 1 8
36.73  100  1 1 0
38.72  20  1 0 10
50.44  30  2 0 8
64.00  29  1 2 8
66.15  18  3 0 0

[2]
This entry pairs a crystal structure of Li3Ag2Hg4 with its computed XRD peak list. Radiation: a wavelength of 1.5418 Å. Structure: the PBE geometry in Alexandria.
No peak broadening, texture or thermal motion is included.

Crystal structure
```
data_Li3Ag2Hg4
_chemical_formula_sum 'Li6 Ag4 Hg8'
_cell_length_a 8.198
_cell_length_b 4.741
_cell_length_c 8.697
_cell_angle_alpha 90.00
_cell_angle_beta 90.25
_cell_angle_gamma 90.00
_space_group_name_H-M_alt 'C 1 2/m 1'
_space_group_IT_number 12
_space_group_name_Hall '-C 2y'
loop_
_atom_site_label
_atom_site_fract_x
_atom_site_fract_y
_atom_site_fract_z
Li1 0.000 0.000 0.000
Li2 0.166 0.500 0.768
Ag1 0.167 0.500 0.443
Hg1 0.001 0.000 0.322
Hg2 0.167 0.500 0.099
```

Most intense lines, 2θ = 5–70°, in order of rising 2θ:
2θ (°)  I (rel.)  (hkl)
23.98  54  2 0 1
29.91  35  1 1 -2
30.03  15  2 0 2
37.98  100  3 1 0
38.04  48  1 1 3
54.75  17  2 2 -3
68.60  34  3 3 0
68.75  17  6 0 0

[3]
This entry pairs a crystal structure of LiAg3Hg6 with its computed XRD peak list. Radiation: a wavelength of 1.5418 Å. Structure: the PBE geometry in Alexandria.
No peak broadening, texture or thermal motion is included.

Crystal structure
```
data_LiAg3Hg6
_chemical_formula_sum 'Li2 Ag6 Hg12'
_cell_length_a 7.935
_cell_length_b 7.216
_cell_length_c 9.612
_cell_angle_alpha 90.00
_cell_angle_beta 123.64
_cell_angle_gamma 90.00
_space_group_name_H-M_alt 'P 1 21/c 1'
_space_group_IT_number 14
_space_group_name_Hall '-P 2ybc'
loop_
_atom_site_label
_atom_site_fract_x
_atom_site_fract_y
_atom_site_fract_z
Li1 0.000 0.000 0.000
Ag1 0.225 0.201 0.443
Ag2 0.500 0.000 0.000
Hg1 0.126 0.061 0.672
Hg2 0.241 0.679 0.829
Hg3 0.469 0.129 0.282
```

Most intense lines, 2θ = 5–70°, in order of rising 2θ:
2θ (°)  I (rel.)  (hkl)
27.40  42  1 2 -1
33.07  47  1 2 1
33.84  100  3 0 -2
35.89  56  0 1 3
36.89  54  2 1 1
37.89  55  3 1 -3
39.60  48  2 1 -4
40.77  43  1 2 2

[4]
This entry pairs a crystal structure of Li4Ag7Hg with its computed XRD peak list. Radiation: a wavelength of 1.5418 Å. Structure: the PBE geometry in Alexandria.
No peak broadening, texture or thermal motion is included.

Crystal structure
```
data_Li4Ag7Hg
_chemical_formula_sum 'Li4 Ag7 Hg1'
_cell_length_a 5.056
_cell_length_b 5.802
_cell_length_c 7.655
_cell_angle_alpha 79.05
_cell_angle_beta 71.45
_cell_angle_gamma 89.98
_space_group_name_H-M_alt 'P -1'
_space_group_IT_number 2
_space_group_name_Hall '-P 1'
loop_
_atom_site_label
_atom_site_fract_x
_atom_site_fract_y
_atom_site_fract_z
Li1 0.172 0.165 0.332
Li2 0.320 0.576 0.672
Ag1 0.000 0.255 0.001
Ag2 0.167 0.662 0.344
Ag3 0.331 0.086 0.655
Ag4 0.500 0.500 0.000
Hg1 0.500 0.000 0.000
```

Most intense lines, 2θ = 5–70°, in order of rising 2θ:
2θ (°)  I (rel.)  (hkl)
12.45  35  0 0 1
17.92  16  0 1 1
25.06  15  0 0 2
37.88  100  1 2 0
37.98  41  0 0 3
43.67  22  2 0 -1
44.24  43  1 2 3
63.92  20  3 -2 1

[5]
This entry pairs a crystal structure of Li4Ag5Hg2 with its computed XRD peak list. Radiation: a wavelength of 1.5418 Å. Structure: the PBE geometry in Alexandria.
No peak broadening, texture or thermal motion is included.

Crystal structure
```
data_Li4Ag5Hg2
_chemical_formula_sum 'Li8 Ag10 Hg4'
_cell_length_a 13.963
_cell_length_b 5.510
_cell_length_c 5.468
_cell_angle_alpha 90.00
_cell_angle_beta 100.56
_cell_angle_gamma 90.00
_space_group_name_H-M_alt 'C 1 2/m 1'
_space_group_IT_number 12
_space_group_name_Hall '-C 2y'
loop_
_atom_site_label
_atom_site_fract_x
_atom_site_fract_y
_atom_site_fract_z
Li1 0.090 0.000 0.414
Li2 0.246 0.500 0.836
Ag1 0.000 0.500 0.500
Ag2 0.089 0.244 0.917
Hg1 0.211 0.500 0.333
```

Most intense lines, 2θ = 5–70°, in order of rising 2θ:
2θ (°)  I (rel.)  (hkl)
17.34  26  1 1 0
24.84  80  1 1 1
28.17  100  4 0 -1
35.10  26  2 2 0
36.63  91  0 2 1
38.13  45  2 0 2
39.20  29  3 1 -2
42.06  31  4 2 0

[6]
This entry pairs a crystal structure of Li3Ag6Hg2 with its computed XRD peak list. Radiation: a wavelength of 1.5418 Å. Structure: the PBE geometry in Alexandria.
No peak broadening, texture or thermal motion is included.

Crystal structure
```
data_Li3Ag6Hg2
_chemical_formula_sum 'Li3 Ag6 Hg2'
_cell_length_a 4.143
_cell_length_b 6.571
_cell_length_c 7.761
_cell_angle_alpha 104.90
_cell_angle_beta 105.39
_cell_angle_gamma 90.23
_space_group_name_H-M_alt 'P -1'
_space_group_IT_number 2
_space_group_name_Hall '-P 1'
loop_
_atom_site_label
_atom_site_fract_x
_atom_site_fract_y
_atom_site_fract_z
Li1 0.000 0.000 0.000
Li2 0.276 0.351 0.551
Ag1 0.102 0.457 0.202
Ag2 0.182 0.916 0.364
Ag3 0.355 0.801 0.709
Hg1 0.453 0.260 0.912
```

Most intense lines, 2θ = 5–70°, in order of rising 2θ:
2θ (°)  I (rel.)  (hkl)
12.28  22  0 0 1
15.97  22  0 1 -1
37.49  51  1 -1 2
37.55  100  -1 2 1
37.64  50  1 2 0
43.51  32  0 3 -2
43.70  68  2 0 -1
63.51  39  2 3 -3

[7]
This entry pairs a crystal structure of Li3Ag4Hg4 with its computed XRD peak list. Radiation: a wavelength of 1.5418 Å. Structure: the PBE geometry in Alexandria.
No peak broadening, texture or thermal motion is included.

Crystal structure
```
data_Li3Ag4Hg4
_chemical_formula_sum 'Li6 Ag8 Hg8'
_cell_length_a 13.783
_cell_length_b 7.574
_cell_length_c 4.293
_cell_angle_alpha 90.00
_cell_angle_beta 107.98
_cell_angle_gamma 90.00
_space_group_name_H-M_alt 'C 1 2/m 1'
_space_group_IT_number 12
_space_group_name_Hall '-C 2y'
loop_
_atom_site_label
_atom_site_fract_x
_atom_site_fract_y
_atom_site_fract_z
Li1 0.000 0.000 0.000
Li2 0.192 0.500 0.691
Ag1 0.158 0.273 0.155
Hg1 0.000 0.304 0.500
Hg2 0.159 0.000 0.656
```

Most intense lines, 2θ = 5–70°, in order of rising 2θ:
2θ (°)  I (rel.)  (hkl)
21.79  20  2 0 -1
23.50  33  3 1 0
27.49  18  3 1 -1
36.24  22  1 3 0
36.47  17  3 1 1
37.78  100  4 2 -1
41.32  24  6 0 0
42.10  22  2 0 -2

[8]
This entry pairs a crystal structure of Li6Ag5Hg with its computed XRD peak list. Radiation: a wavelength of 1.5418 Å. Structure: the PBE geometry in Alexandria.
No peak broadening, texture or thermal motion is included.

Crystal structure
```
data_Li6Ag5Hg
_chemical_formula_sum 'Li12 Ag10 Hg2'
_cell_length_a 4.561
_cell_length_b 13.693
_cell_length_c 6.261
_cell_angle_alpha 90.00
_cell_angle_beta 90.00
_cell_angle_gamma 90.00
_space_group_name_H-M_alt 'C m m m'
_space_group_IT_number 65
_space_group_name_Hall '-C 2 2'
loop_
_atom_site_label
_atom_site_fract_x
_atom_site_fract_y
_atom_site_fract_z
Li1 0.000 0.000 0.248
Li2 0.000 0.333 0.247
Ag1 0.000 0.166 0.000
Ag2 0.000 0.170 0.500
Ag3 0.000 0.500 0.000
Hg1 0.000 0.500 0.500
```

Most intense lines, 2θ = 5–70°, in order of rising 2θ:
2θ (°)  I (rel.)  (hkl)
27.65  100  1 3 0
28.51  46  0 0 2
39.50  45  2 0 0
40.13  86  1 3 2
49.43  39  2 0 2
64.59  17  3 3 0
65.04  17  2 6 2
66.38  16  1 3 4

[9]
This entry pairs a crystal structure of Li4Ag2Hg with its computed XRD peak list. Radiation: a wavelength of 1.5418 Å. Structure: the PBE geometry in Alexandria.
No peak broadening, texture or thermal motion is included.

Crystal structure
```
data_Li4Ag2Hg
_chemical_formula_sum 'Li16 Ag8 Hg4'
_cell_length_a 7.934
_cell_length_b 7.934
_cell_length_c 7.988
_cell_angle_alpha 90.00
_cell_angle_beta 90.00
_cell_angle_gamma 90.00
_space_group_name_H-M_alt 'I -4 2 d'
_space_group_IT_number 122
_space_group_name_Hall 'I -4 2bw'
loop_
_atom_site_label
_atom_site_fract_x
_atom_site_fract_y
_atom_site_fract_z
Li1 0.079 0.668 0.447
Ag1 0.130 0.750 0.125
Hg1 0.000 0.000 0.500
```

Most intense lines, 2θ = 5–70°, in order of rising 2θ:
2θ (°)  I (rel.)  (hkl)
27.47  100  1 1 2
35.57  15  1 0 3
35.77  24  3 0 1
42.57  22  3 1 2
51.21  10  2 0 4
51.49  14  4 2 0
54.09  16  3 2 3
59.38  11  4 3 1

[10]
This entry pairs a crystal structure of Li4Ag2Hg with its computed XRD peak list. Radiation: a wavelength of 1.5418 Å. Structure: the PBE geometry in Alexandria.
No peak broadening, texture or thermal motion is included.

Crystal structure
```
data_Li4Ag2Hg
_chemical_formula_sum 'Li8 Ag4 Hg2'
_cell_length_a 4.384
_cell_length_b 4.384
_cell_length_c 13.557
_cell_angle_alpha 90.00
_cell_angle_beta 90.00
_cell_angle_gamma 90.00
_space_group_name_H-M_alt 'I 4/m m m'
_space_group_IT_number 139
_space_group_name_Hall '-I 4 2'
loop_
_atom_site_label
_atom_site_fract_x
_atom_site_fract_y
_atom_site_fract_z
Li1 0.000 0.500 0.125
Ag1 0.000 0.000 0.245
Hg1 0.000 0.000 0.000
```

Most intense lines, 2θ = 5–70°, in order of rising 2θ:
2θ (°)  I (rel.)  (hkl)
21.30  100  1 0 1
26.30  58  0 0 4
28.36  38  1 0 3
28.80  93  1 1 0
39.06  28  1 0 5
39.39  97  1 1 4
41.18  43  2 0 0
49.52  41  2 0 4

[11]
This entry pairs a crystal structure of Li4Ag4Hg with its computed XRD peak list. Radiation: a wavelength of 1.5418 Å. Structure: the PBE geometry in Alexandria.
No peak broadening, texture or thermal motion is included.

Crystal structure
```
data_Li4Ag4Hg
_chemical_formula_sum 'Li8 Ag8 Hg2'
_cell_length_a 8.649
_cell_length_b 8.649
_cell_length_c 4.130
_cell_angle_alpha 90.00
_cell_angle_beta 90.00
_cell_angle_gamma 90.00
_space_group_name_H-M_alt 'I 4/m m m'
_space_group_IT_number 139
_space_group_name_Hall '-I 4 2'
loop_
_atom_site_label
_atom_site_fract_x
_atom_site_fract_y
_atom_site_fract_z
Li1 0.167 0.167 0.000
Ag1 0.000 0.333 0.500
Hg1 0.000 0.000 0.500
```

Most intense lines, 2θ = 5–70°, in order of rising 2θ:
2θ (°)  I (rel.)  (hkl)
20.54  48  2 0 0
23.88  68  1 0 1
32.74  31  3 1 0
38.07  100  3 0 1
43.64  28  3 2 1
44.44  32  3 3 0
57.79  18  4 3 1
64.20  21  3 3 2

[12]
This entry pairs a crystal structure of Li12Ag2Hg with its computed XRD peak list. Radiation: a wavelength of 1.5418 Å. Structure: the PBE geometry in Alexandria.
No peak broadening, texture or thermal motion is included.

Crystal structure
```
data_Li12Ag2Hg
_chemical_formula_sum 'Li24 Ag4 Hg2'
_cell_length_a 5.420
_cell_length_b 5.420
_cell_length_c 20.269
_cell_angle_alpha 90.00
_cell_angle_beta 90.00
_cell_angle_gamma 90.00
_space_group_name_H-M_alt 'P 4/n b m'
_space_group_IT_number 125
loop_
_space_group_symop_operation_xyz
'x,y,z'
'-x,-y,-z'
'-y+1/2,x,z'
'y+1/2,-x,-z'
'-x+1/2,-y+1/2,z'
'x+1/2,y+1/2,-z'
'y,-x+1/2,z'
'-y,x+1/2,-z'
'x,-y+1/2,-z'
'-x,y+1/2,z'
'-y+1/2,-x+1/2,-z'
'y+1/2,x+1/2,z'
'-x+1/2,y,-z'
'x+1/2,-y,z'
'y,x,-z'
'-y,-x,z'
loop_
_atom_site_label
_atom_site_fract_x
_atom_site_fract_y
_atom_site_fract_z
Li1 0.000 0.000 0.099
Li2 0.065 0.565 0.437
Li3 0.250 0.250 0.199
Li4 0.250 0.250 0.323
Ag1 0.250 0.750 0.216
Hg1 0.250 0.750 0.000
```

Most intense lines, 2θ = 5–70°, in order of rising 2θ:
2θ (°)  I (rel.)  (hkl)
17.50  63  0 0 4
21.93  52  0 0 5
23.21  100  1 1 0
23.62  69  1 1 1
29.22  82  1 1 4
32.14  84  1 1 5
37.64  46  2 0 4
40.02  66  0 0 9

- Which formula does entry 7 have?
  Li3Ag4Hg4

- Number 12 is which compound?
  Li12Ag2Hg